# 1
Diffraction record for CdSn2Pd4. The powder X-ray diffraction pattern is computed, not measured: it uses DFT lattice parameters and positions (GGA-PBE) and a wavelength of 1.5418 Å.
Intensities are scaled so that the largest is 100.

Top 12 peaks for 10° ≤ 2θ ≤ 80°, in order of rising 2θ:
| 2theta | I_rel |
| --- | --- |
| 34.58 | 64 |
| 36.62 | 56 |
| 36.87 | 35 |
| 37.65 | 62 |
| 37.82 | 62 |
| 38.30 | 80 |
| 38.55 | 100 |
| 39.08 | 41 |
| 39.60 | 74 |
| 39.73 | 39 |
| 41.13 | 41 |
| 41.43 | 29 |

Crystal structure
a = 5.980 Å, b = 7.138 Å, c = 7.205 Å
α = 112.24°, β = 104.02°, γ = 104.49°
Fractional coordinates of all 14 atoms:
1 Cd 0.000 0.000 0.000
2 Cd 0.306 0.809 0.579
3 Sn 0.060 0.541 0.816
4 Sn 0.522 0.488 0.717
5 Sn 0.572 0.308 0.173
6 Sn 0.773 0.992 0.425
7 Pd 0.045 0.348 0.384
8 Pd 0.209 0.186 0.770
9 Pd 0.345 0.588 0.191
10 Pd 0.346 0.077 0.378
11 Pd 0.515 0.882 0.012
12 Pd 0.732 0.201 0.828
13 Pd 0.807 0.685 0.555
14 Pd 0.878 0.665 0.152


# 2
Diffraction record for U2Zn15Cu2. The powder X-ray diffraction pattern is computed, not measured: it uses DFT lattice parameters and positions (GGA-PBE) and a wavelength of 1.5418 Å.
Intensities are scaled so that the largest is 100.

Top 12 peaks for 10° ≤ 2θ ≤ 80°, in order of rising 2θ:
| 2theta | I_rel |
| --- | --- |
| 28.60 | 47 |
| 34.84 | 44 |
| 35.93 | 33 |
| 40.45 | 64 |
| 40.67 | 100 |
| 41.36 | 52 |
| 41.63 | 19 |
| 58.70 | 20 |
| 59.22 | 30 |
| 66.42 | 16 |
| 73.56 | 24 |
| 74.89 | 20 |

Crystal structure
a = 6.755 Å, b = 6.755 Å, c = 6.755 Å
α = 82.65°, β = 82.65°, γ = 82.65°
Fractional coordinates of all 19 atoms:
1 U 0.161 0.161 0.161
2 U 0.839 0.839 0.839
3 Zn 0.000 0.500 0.500
4 Zn 0.148 0.148 0.655
5 Zn 0.148 0.655 0.148
6 Zn 0.210 0.500 0.790
7 Zn 0.210 0.790 0.500
8 Zn 0.345 0.852 0.852
9 Zn 0.500 0.000 0.500
10 Zn 0.500 0.210 0.790
11 Zn 0.500 0.500 0.000
12 Zn 0.500 0.790 0.210
13 Zn 0.655 0.148 0.148
14 Zn 0.790 0.210 0.500
15 Zn 0.790 0.500 0.210
16 Zn 0.852 0.345 0.852
17 Zn 0.852 0.852 0.345
18 Cu 0.395 0.395 0.395
19 Cu 0.605 0.605 0.605


# 3
Diffraction record for Na6Pt2Au. The powder X-ray diffraction pattern is computed, not measured: it uses DFT lattice parameters and positions (GGA-PBE) and a wavelength of 1.5418 Å.
Intensities are scaled so that the largest is 100.

Top 12 peaks for 10° ≤ 2θ ≤ 80°, in order of rising 2θ:
| 2theta | I_rel |
| --- | --- |
| 20.83 | 100 |
| 21.48 | 39 |
| 36.11 | 58 |
| 36.84 | 38 |
| 39.48 | 29 |
| 42.05 | 17 |
| 45.73 | 12 |
| 52.22 | 21 |
| 52.54 | 14 |
| 56.60 | 14 |
| 65.41 | 14 |
| 67.19 | 12 |

Crystal structure
a = 10.277 Å, b = 10.277 Å, c = 10.277 Å
α = 28.02°, β = 28.02°, γ = 28.02°
Fractional coordinates of all 9 atoms:
1 Na 0.077 0.077 0.077
2 Na 0.202 0.202 0.202
3 Na 0.308 0.308 0.308
4 Na 0.692 0.692 0.692
5 Na 0.798 0.798 0.798
6 Na 0.923 0.923 0.923
7 Pt 0.410 0.410 0.410
8 Pt 0.590 0.590 0.590
9 Au 0.500 0.500 0.500


# 4
Diffraction record for Ba2B2O5. The powder X-ray diffraction pattern is computed, not measured: it uses DFT lattice parameters and positions (GGA-PBE) and a wavelength of 1.5418 Å.
Intensities are scaled so that the largest is 100.

Top 12 peaks for 10° ≤ 2θ ≤ 80°, in order of rising 2θ:
| 2theta | I_rel |
| --- | --- |
| 17.94 | 72 |
| 25.02 | 49 |
| 25.58 | 60 |
| 26.80 | 100 |
| 26.96 | 60 |
| 27.64 | 48 |
| 27.76 | 49 |
| 28.40 | 58 |
| 32.17 | 30 |
| 41.92 | 28 |
| 42.20 | 29 |
| 42.48 | 27 |

Crystal structure
a = 4.283 Å, b = 6.691 Å, c = 10.874 Å
α = 105.28°, β = 90.11°, γ = 90.83°
Fractional coordinates of all 18 atoms:
1 Ba 0.219 0.321 0.080
2 Ba 0.249 0.776 0.601
3 Ba 0.751 0.224 0.399
4 Ba 0.781 0.679 0.920
5 B 0.327 0.868 0.201
6 B 0.336 0.356 0.677
7 B 0.664 0.644 0.323
8 B 0.673 0.132 0.799
9 O 0.226 0.069 0.231
10 O 0.246 0.337 0.553
11 O 0.284 0.531 0.773
12 O 0.289 0.730 0.084
13 O 0.494 0.817 0.304
14 O 0.506 0.183 0.696
15 O 0.711 0.270 0.916
16 O 0.716 0.469 0.227
17 O 0.754 0.663 0.447
18 O 0.774 0.931 0.769


# 5
Diffraction record for CaPrI. The powder X-ray diffraction pattern is computed, not measured: it uses DFT lattice parameters and positions (GGA-PBE) and a wavelength of 1.5418 Å.
Intensities are scaled so that the largest is 100.

Top 12 peaks for 10° ≤ 2θ ≤ 80°, in order of rising 2θ:
| 2theta | I_rel |
| --- | --- |
| 14.69 | 59 |
| 21.88 | 19 |
| 29.29 | 93 |
| 30.39 | 100 |
| 32.90 | 44 |
| 36.35 | 46 |
| 41.89 | 30 |
| 44.62 | 23 |
| 50.06 | 21 |
| 52.63 | 38 |
| 56.64 | 28 |
| 67.27 | 16 |

Crystal structure
a = 12.061 Å, b = 4.313 Å, c = 4.313 Å
α = 89.86°, β = 90.00°, γ = 90.00°
Fractional coordinates of all 6 atoms:
1 Ca 0.000 0.000 0.000
2 Ca 0.500 0.303 0.303
3 Pr 0.335 0.804 0.804
4 Pr 0.665 0.804 0.804
5 I 0.226 0.303 0.303
6 I 0.774 0.303 0.303


# 6
Diffraction record for Rb2Cd5Sn2. The powder X-ray diffraction pattern is computed, not measured: it uses DFT lattice parameters and positions (GGA-PBE) and a wavelength of 1.5418 Å.
Intensities are scaled so that the largest is 100.

Top 12 peaks for 10° ≤ 2θ ≤ 80°, in order of rising 2θ:
| 2theta | I_rel |
| --- | --- |
| 16.78 | 24 |
| 29.29 | 100 |
| 30.47 | 24 |
| 34.00 | 77 |
| 35.00 | 47 |
| 38.06 | 13 |
| 46.29 | 15 |
| 48.84 | 27 |
| 57.78 | 16 |
| 57.98 | 27 |
| 61.49 | 18 |
| 78.98 | 13 |

Crystal structure
a = 5.274 Å, b = 5.274 Å, c = 10.592 Å
α = 90.00°, β = 90.00°, γ = 90.00°
Fractional coordinates of all 9 atoms:
1 Rb 0.000 0.000 0.000
2 Rb 0.000 0.000 0.500
3 Cd 0.000 0.500 0.222
4 Cd 0.000 0.500 0.778
5 Cd 0.500 0.000 0.222
6 Cd 0.500 0.000 0.778
7 Cd 0.500 0.500 0.000
8 Sn 0.500 0.500 0.353
9 Sn 0.500 0.500 0.647